Starting from a cell relaxed with GGA-PBE, the powder X-ray diffraction pattern of Ac2Al5Pd3 was calculated for Cu Kα X-rays.
Kinematic intensities with the Lorentz-polarization factor, no thermal factor.

Top 10 peaks for 15 to 90 degrees two-theta, by angle:
d/Å	Rel. int.	h k l
4.116	40	1 2 1
3.166	25	0 0 2
3.140	25	0 4 0
2.787	100	3 2 1
2.725	53	2 0 2
2.708	52	2 4 0
2.229	58	0 4 2
1.931	40	5 2 1
1.745	26	3 2 3
1.736	25	3 6 1

Cell: 10.708 12.559 6.332 Å, 90.00 90.00 90.00°
Space group Ibam (No. 72)
Inequivalent atoms, fractional coordinates:
1 Ac 0.246 0.127 0.000 [8 per cell]
2 Al 0.000 0.262 0.250 [8 per cell]
3 Al 0.000 0.500 0.250 [4 per cell]
4 Al 0.126 0.122 0.500 [8 per cell]
5 Pd 0.000 0.000 0.250 [4 per cell]
6 Pd 0.131 0.379 0.000 [8 per cell]

***

Starting from a cell relaxed with GGA-PBE, the powder X-ray diffraction pattern of AcAl9Pd2 was calculated for Cu Kα X-rays.
Kinematic intensities with the Lorentz-polarization factor, no thermal factor.

Top 10 peaks for 15 to 90 degrees two-theta, by angle:
d/Å	Rel. int.	h k l
5.413	24	2 0 0
4.042	100	2 1 1
3.311	29	1 1 2
2.779	60	3 2 1
2.707	30	4 0 0
2.504	58	3 1 2
2.421	32	4 2 0
2.388	29	1 0 3
2.021	25	4 2 2
1.656	30	2 2 4

Cell: 10.827 10.827 7.344 Å, 90.00 90.00 90.00°
Space group I4_1/amd (No. 141, origin choice 2)
Inequivalent atoms, fractional coordinates:
1 Ac 0.000 0.250 0.375 [4 per cell]
2 Al 0.000 0.250 0.875 [4 per cell]
3 Al 0.123 0.047 0.685 [32 per cell]
4 Pd 0.000 0.000 0.000 [8 per cell]

***

Starting from a cell relaxed with GGA-PBE, the powder X-ray diffraction pattern of Ac3AlPd3 was calculated for Cu Kα X-rays.
Kinematic intensities with the Lorentz-polarization factor, no thermal factor.

Top 10 peaks for 15 to 90 degrees two-theta, by angle:
d/Å	Rel. int.	h k l
3.149	26	2 0 3
3.060	54	4 0 -2
2.954	76	3 1 -1
2.904	54	1 1 3
2.868	100	1 1 -4
2.602	41	3 1 -4
2.433	52	3 1 2
2.393	28	0 0 6
2.152	45	0 2 0
1.621	28	7 1 -3

Cell: 12.248 4.304 15.400 Å, 90.00 111.21 90.00°
Space group C2/m (No. 12)
Inequivalent atoms, fractional coordinates:
1 Ac 0.020 0.000 0.381 [4 per cell]
2 Ac 0.099 0.000 0.922 [4 per cell]
3 Ac 0.236 0.000 0.232 [4 per cell]
4 Al 0.242 0.500 0.417 [4 per cell]
5 Pd 0.054 0.500 0.244 [4 per cell]
6 Pd 0.123 0.500 0.075 [4 per cell]
7 Pd 0.137 0.500 0.544 [4 per cell]

***

Starting from a cell relaxed with GGA-PBE, the powder X-ray diffraction pattern of Ac2Al3Pd5 was calculated for Cu Kα X-rays.
Kinematic intensities with the Lorentz-polarization factor, no thermal factor.

Top 10 peaks for 15 to 90 degrees two-theta, by angle:
d/Å	Rel. int.	h k l
4.040	32	1 2 1
2.789	53	3 2 1
2.726	32	4 0 0
2.685	73	2 4 0
2.672	100	2 0 2
2.174	58	0 4 2
1.950	26	5 2 1
1.700	20	4 4 2
1.336	16	4 0 4
1.331	17	2 4 4

Cell: 10.906 12.337 6.132 Å, 90.00 90.00 90.00°
Space group Ibam (No. 72)
Inequivalent atoms, fractional coordinates:
1 Ac 0.232 0.134 0.000 [8 per cell]
2 Al 0.000 0.500 0.250 [4 per cell]
3 Al 0.095 0.139 0.500 [8 per cell]
4 Pd 0.000 0.000 0.250 [4 per cell]
5 Pd 0.000 0.280 0.250 [8 per cell]
6 Pd 0.171 0.401 0.000 [8 per cell]

***

Starting from a cell relaxed with GGA-PBE, the powder X-ray diffraction pattern of Ac3Al3Pd was calculated for Cu Kα X-rays.
Kinematic intensities with the Lorentz-polarization factor, no thermal factor.

Top 10 peaks for 15 to 90 degrees two-theta, by angle:
d/Å	Rel. int.	h k l
4.273	62	1 1 0
3.953	43	2 0 2
3.621	48	2 0 -4
3.059	78	1 1 3
2.999	79	3 1 -1
2.960	100	1 1 -4
2.946	45	4 0 -1
2.308	46	0 2 0
1.944	34	2 2 -4
1.870	30	3 1 5

Cell: 11.845 4.615 15.447 Å, 90.00 107.35 90.00°
Space group C2/m (No. 12)
Inequivalent atoms, fractional coordinates:
1 Ac 0.013 0.000 0.384 [4 per cell]
2 Ac 0.113 0.000 0.918 [4 per cell]
3 Ac 0.243 0.000 0.230 [4 per cell]
4 Al 0.042 0.500 0.234 [4 per cell]
5 Al 0.093 0.500 0.074 [4 per cell]
6 Al 0.187 0.500 0.537 [4 per cell]
7 Pd 0.233 0.500 0.384 [4 per cell]

***

Starting from a cell relaxed with GGA-PBE, the powder X-ray diffraction pattern of Ac2PrAl2Pd7 was calculated for Cu Kα X-rays.
Kinematic intensities with the Lorentz-polarization factor, no thermal factor.

Top 10 peaks for 15 to 90 degrees two-theta, by angle:
d/Å	Rel. int.	h k l
3.515	31	0 0 4
3.309	26	1 1 -3
3.012	42	0 2 0
2.941	30	0 2 1
2.704	57	2 0 -3
2.649	69	2 0 2
2.595	26	1 1 4
2.531	100	0 2 3
2.137	85	2 2 -1
2.130	37	2 2 0

Cell: 6.087 6.016 14.184 Å, 90.00 97.57 90.00°
Space group C2/m (No. 12)
Inequivalent atoms, fractional coordinates:
1 Ac 0.100 0.000 0.358 [4 per cell]
2 Pr 0.000 0.000 0.000 [2 per cell]
3 Al 0.073 0.500 0.242 [4 per cell]
4 Pd 0.000 0.500 0.000 [2 per cell]
5 Pd 0.112 0.500 0.421 [4 per cell]
6 Pd 0.204 0.250 0.847 [8 per cell]

***

Starting from a cell relaxed with GGA-PBE, the powder X-ray diffraction pattern of Ac2Al3Pd12Pt was calculated for Cu Kα X-rays.
Kinematic intensities with the Lorentz-polarization factor, no thermal factor.

Top 10 peaks for 15 to 90 degrees two-theta, by angle:
d/Å	Rel. int.	h k l
3.469	32	1 1 3
3.292	30	0 1 5
2.857	100	0 2 4
2.205	16	1 2 5
2.100	78	2 2 0
1.949	59	2 0 8
1.692	20	4 0 4
1.428	20	0 4 8
1.318	16	2 4 4
1.181	22	4 2 8

Cell: 8.3998 8.3998 18.4607 Å, 90.00 90.00 120.00°
Space group R-3m (No. 166, hexagonal axes)
Inequivalent atoms, fractional coordinates:
1 Ac 0.0000 0.0000 0.1148 [6 per cell]
2 Al 0.0000 0.5000 0.0000 [9 per cell]
3 Pd 0.0109 0.5055 0.8700 [18 per cell]
4 Pd 0.0220 0.5110 0.3734 [18 per cell]
5 Pt 0.0000 0.0000 0.5000 [3 per cell]

***

Starting from a cell relaxed with GGA-PBE, the powder X-ray diffraction pattern of Ac3AlSn2Pd6 was calculated for Cu Kα X-rays.
Kinematic intensities with the Lorentz-polarization factor, no thermal factor.

Top 10 peaks for 15 to 90 degrees two-theta, by angle:
d/Å	Rel. int.	h k l
3.413	38	0 1 2
3.016	46	1 1 0
3.005	51	0 0 3
2.509	100	0 2 1
2.260	76	2 0 2
2.129	23	1 1 3
1.706	27	0 2 4
1.508	36	2 2 0
1.485	25	2 0 5
1.348	27	2 2 3

Cell: 6.0329 6.0329 9.0164 Å, 90.00 90.00 120.00°
Space group P-3m1 (No. 164)
Inequivalent atoms, fractional coordinates:
1 Ac 0.0000 0.0000 0.0000 [1 per cell]
2 Ac 0.3333 0.6667 0.6515 [2 per cell]
3 Al 0.0000 0.0000 0.5000 [1 per cell]
4 Sn 0.3333 0.6667 0.0519 [2 per cell]
5 Pd 0.1726 0.3452 0.3039 [6 per cell]

***

Starting from a cell relaxed with GGA-PBE, the powder X-ray diffraction pattern of Ac2TmAlPd6 was calculated for Cu Kα X-rays.
Kinematic intensities with the Lorentz-polarization factor, no thermal factor.

Top 10 peaks for 15 to 90 degrees two-theta, by angle:
d/Å	Rel. int.	h k l
3.307	37	0 1 -2
3.207	14	1 1 0
3.151	40	0 2 -1
3.070	22	1 0 -2
2.751	26	-2 1 1
2.593	34	2 0 0
2.502	50	-1 2 1
2.390	100	2 -2 1
2.290	33	1 0 2
2.123	18	0 2 -3

Cell: 5.836 6.704 6.756 Å, 109.94 100.11 109.76°
Space group P-1 (No. 2)
Inequivalent atoms, fractional coordinates:
1 Ac 0.024 0.167 0.306 [2 per cell]
2 Tm 0.500 0.500 0.000 [1 per cell]
3 Al 0.500 0.000 0.500 [1 per cell]
4 Pd 0.029 0.621 0.240 [2 per cell]
5 Pd 0.360 0.860 0.082 [2 per cell]
6 Pd 0.406 0.658 0.640 [2 per cell]

***

Starting from a cell relaxed with GGA-PBE, the powder X-ray diffraction pattern of AcAlZnPd6 was calculated for Cu Kα X-rays.
Kinematic intensities with the Lorentz-polarization factor, no thermal factor.

Top 10 peaks for 15 to 90 degrees two-theta, by angle:
d/Å	Rel. int.	h k l
2.997	43	1 1 2
2.939	40	4 0 0
2.674	57	3 1 1
2.611	43	2 2 -1
2.509	59	2 0 -4
2.454	69	2 2 -2
2.373	50	0 2 2
2.320	50	3 1 -4
2.252	100	6 0 -3
2.170	53	4 2 -2

Cell: 13.739 5.661 10.184 Å, 90.00 121.17 90.00°
Space group C2/m (No. 12)
Inequivalent atoms, fractional coordinates:
1 Ac 0.140 0.000 0.455 [4 per cell]
2 Al 0.000 0.500 0.000 [2 per cell]
3 Al 0.000 0.500 0.500 [2 per cell]
4 Zn 0.250 0.250 0.000 [4 per cell]
5 Pd 0.048 0.000 0.900 [4 per cell]
6 Pd 0.060 0.500 0.299 [4 per cell]
7 Pd 0.112 0.239 0.713 [8 per cell]
8 Pd 0.163 0.244 0.180 [8 per cell]

***

Starting from a cell relaxed with GGA-PBE, the powder X-ray diffraction pattern of AcPm2Al4 was calculated for Cu Kα X-rays.
Kinematic intensities with the Lorentz-polarization factor, no thermal factor.

Top 10 peaks for 15 to 90 degrees two-theta, by angle:
d/Å	Rel. int.	h k l
4.463	36	0 1 1
3.624	66	1 0 3
3.212	25	0 0 6
3.013	100	1 1 2
2.951	58	0 1 5
2.649	23	1 1 4
1.938	25	1 2 3
1.918	23	1 1 8
1.761	26	2 1 5
1.636	24	0 1 11

Cell: 4.389 4.588 19.270 Å, 90.00 90.00 90.00°
Space group Immm (No. 71)
Inequivalent atoms, fractional coordinates:
1 Ac 0.000 0.000 0.000 [2 per cell]
2 Pm 0.000 0.500 0.314 [4 per cell]
3 Al 0.000 0.000 0.431 [4 per cell]
4 Al 0.000 0.500 0.145 [4 per cell]

***

Starting from a cell relaxed with GGA-PBE, the powder X-ray diffraction pattern of AcPmAl6 was calculated for Cu Kα X-rays.
Kinematic intensities with the Lorentz-polarization factor, no thermal factor.

Top 10 peaks for 15 to 90 degrees two-theta, by angle:
d/Å	Rel. int.	h k l
4.459	47	0 1 1
3.694	98	1 1 0
3.655	44	1 0 1
3.175	100	1 1 1
2.847	55	0 2 1
2.794	71	0 1 2
2.559	72	1 0 2
2.409	83	1 2 1
1.845	41	2 2 0
1.758	50	2 1 2

Cell: 4.521 6.408 6.208 Å, 90.00 90.00 90.00°
Space group Pmm2 (No. 25)
Inequivalent atoms, fractional coordinates:
1 Ac 0.000 0.000 0.000 [1 per cell]
2 Pm 0.500 0.500 0.227 [1 per cell]
3 Al 0.000 0.242 0.482 [2 per cell]
4 Al 0.000 0.500 0.852 [1 per cell]
5 Al 0.500 0.000 0.412 [1 per cell]
6 Al 0.500 0.286 0.742 [2 per cell]